Simulated X-ray diffraction stick pattern of TmPS4Cl for Cu Ka, from the PBE geometry in Alexandria.

Atomic structure:
Cell: 6.753 6.753 8.886 Å, 96.39 96.39 79.78°
Positions (direct):
Tm 0.190 0.190 0.055
Tm 0.810 0.810 0.945
P 0.390 0.390 0.758
P 0.610 0.610 0.242
S 0.149 0.508 0.889
S 0.302 0.302 0.543
S 0.420 0.420 0.275
S 0.492 0.851 0.111
S 0.508 0.149 0.889
S 0.580 0.580 0.725
S 0.698 0.698 0.457
S 0.851 0.492 0.111
Cl 0.015 0.015 0.809
Cl 0.985 0.985 0.191

Peak list (8 most intense, 2θ = 10–80°, in order of rising 2θ)
- 10.1 deg, I 100
- 16.0 deg, I 18
- 17.3 deg, I 14
- 20.5 deg, I 41
- 21.3 deg, I 18
- 23.2 deg, I 17
- 28.6 deg, I 35
- 32.5 deg, I 15